# 1
Starting from a cell relaxed with GGA-PBE, the PXRD pattern of Tl3Rh2Cl9 was calculated for Cu Kα (λ = 1.5418 Å).

Most intense lines, 2θ from 5° to 70°, sorted by position:
- d 4.375, 2θ 20.30, I = 100, (1 1 3)
- d 3.404, 2θ 26.18, I = 71, (3 0 0)
- d 2.854, 2θ 31.34, I = 39, (1 1 6)
- d 2.687, 2θ 33.35, I = 96, (2 2 3)
- d 2.187, 2θ 41.28, I = 35, (2 2 6)
- d 2.109, 2θ 42.88, I = 26, (4 1 3)

Crystal structure
Cell lengths 11.7923, 11.7923, 19.5736 Å; angles 90.00, 90.00, 120.00 degrees
Space group R-3c (No. 167, hexagonal axes)
Symmetry-distinct sites (fractional):
Tl1 0.0000 0.3470 0.2500 [18 per cell]
Rh1 0.0000 0.0000 0.1710 [12 per cell]
Cl1 0.0000 0.1559 0.7500 [18 per cell]
Cl2 0.0005 0.1651 0.1051 [36 per cell]

# 2
Starting from a cell relaxed with GGA-PBE, the PXRD pattern of Zr2RhCl was calculated for Cu Kα (λ = 1.5418 Å).

Most intense lines, 2θ from 5° to 70°, sorted by position:
- d 7.252, 2θ 12.20, I = 100, (0 0 2)
- d 3.082, 2θ 28.98, I = 63, (1 0 2)
- d 2.855, 2θ 31.33, I = 40, (0 1 3)
- d 2.418, 2θ 37.18, I = 80, (1 1 1)
- d 2.243, 2θ 40.20, I = 66, (0 1 5)
- d 2.187, 2θ 41.27, I = 81, (1 1 3)

Crystal structure
Cell lengths 3.404, 3.537, 14.504 Å; angles 90.00, 90.00, 90.00 degrees
Space group Amm2 (No. 38)
Symmetry-distinct sites (fractional):
Zr1 0.000 0.000 0.000 [2 per cell]
Zr2 0.500 0.000 0.208 [2 per cell]
Rh1 0.500 0.000 0.573 [2 per cell]
Cl1 0.000 0.000 0.814 [2 per cell]

# 3
Starting from a cell relaxed with GGA-PBE, the PXRD pattern of RuCl3 was calculated for Cu Kα (λ = 1.5418 Å).

Most intense lines, 2θ from 5° to 70°, sorted by position:
- d 6.388, 2θ 13.86, I = 100, (0 0 3)
- d 5.073, 2θ 17.48, I = 24, (1 0 1)
- d 3.000, 2θ 29.78, I = 24, (1 1 1)
- d 2.565, 2θ 34.98, I = 71, (1 1 4)
- d 2.033, 2θ 44.56, I = 25, (1 1 7)
- d 1.881, 2θ 48.39, I = 22, (2 -1 8)

Crystal structure
Cell lengths 6.0751, 6.0751, 19.1635 Å; angles 90.00, 90.00, 120.00 degrees
Space group P3_112 (No. 151)
Symmetry-distinct sites (fractional):
Ru1 0.2223 0.1111 0.0000 [3 per cell]
Ru2 0.2223 0.4446 0.6667 [3 per cell]
Cl1 0.2011 0.0899 0.2636 [6 per cell]
Cl2 0.2010 0.4443 0.4031 [6 per cell]
Cl3 0.5343 0.0898 0.9302 [6 per cell]

# 4
Starting from a cell relaxed with GGA-PBE, the PXRD pattern of RuCl6 was calculated for Cu Kα (λ = 1.5418 Å).

Most intense lines, 2θ from 5° to 70°, sorted by position:
- d 5.450, 2θ 16.26, I = 100, (1 0 0)
- d 3.810, 2θ 23.35, I = 50, (1 0 1)
- d 2.709, 2θ 33.06, I = 80, (2 -1 1)
- d 2.033, 2θ 44.56, I = 32, (2 -1 2)
- d 1.921, 2θ 47.31, I = 21, (3 -1 1)
- d 1.817, 2θ 50.22, I = 21, (3 0 0)

Crystal structure
Cell lengths 6.2935, 6.2935, 5.3278 Å; angles 90.00, 90.00, 120.00 degrees
Space group P-31m (No. 162)
Symmetry-distinct sites (fractional):
Ru1 0.0000 0.0000 0.0000 [1 per cell]
Cl1 0.0000 0.2980 0.2499 [6 per cell]

# 5
Starting from a cell relaxed with GGA-PBE, the PXRD pattern of RuCl5 was calculated for Cu Kα (λ = 1.5418 Å).

Most intense lines, 2θ from 5° to 70°, sorted by position:
- d 6.136, 2θ 14.43, I = 57, (2 0 0)
- d 5.899, 2θ 15.02, I = 100, (1 1 0)
- d 4.063, 2θ 21.87, I = 17, (2 0 -2)
- d 3.635, 2θ 24.49, I = 23, (1 1 -2)
- d 2.934, 2θ 30.47, I = 19, (3 1 1)
- d 2.635, 2θ 34.02, I = 17, (1 1 -3)

Crystal structure
Cell lengths 12.973, 6.727, 8.642 Å; angles 90.00, 108.91, 90.00 degrees
Space group C2/c (No. 15)
Symmetry-distinct sites (fractional):
Ru1 0.000 0.000 0.000 [4 per cell]
Cl1 0.000 0.163 0.250 [4 per cell]
Cl2 0.087 0.276 0.953 [8 per cell]
Cl3 0.165 0.144 0.631 [8 per cell]

# 6
Starting from a cell relaxed with GGA-PBE, the PXRD pattern of Ru2Cl was calculated for Cu Kα (λ = 1.5418 Å).

Most intense lines, 2θ from 5° to 70°, sorted by position:
- d 10.257, 2θ 8.62, I = 100, (0 0 1)
- d 4.080, 2θ 21.79, I = 7, (2 0 -1)
- d 2.373, 2θ 37.92, I = 15, (1 1 2)
- d 2.174, 2θ 41.53, I = 6, (4 0 0)
- d 2.103, 2θ 43.00, I = 15, (1 1 3)
- d 1.910, 2θ 47.61, I = 9, (3 1 -2)

Crystal structure
Cell lengths 8.709, 2.839, 10.271 Å; angles 90.00, 92.93, 90.00 degrees
Space group C2/m (No. 12)
Symmetry-distinct sites (fractional):
Ru1 0.094 0.000 0.163 [4 per cell]
Ru2 0.131 0.500 0.956 [4 per cell]
Cl1 0.117 0.500 0.349 [4 per cell]

# 7
Starting from a cell relaxed with GGA-PBE, the PXRD pattern of RuS3Cl8 was calculated for Cu Kα (λ = 1.5418 Å).

Most intense lines, 2θ from 5° to 70°, sorted by position:
- d 10.332, 2θ 8.56, I = 32, (0 0 1)
- d 7.353, 2θ 12.04, I = 100, (0 1 -1)
- d 7.005, 2θ 12.64, I = 75, (1 0 -1)
- d 6.912, 2θ 12.81, I = 77, (1 -1 0)
- d 3.315, 2θ 26.89, I = 32, (0 2 1)
- d 2.497, 2θ 35.97, I = 30, (2 -2 3)

Crystal structure
Cell lengths 8.330, 8.620, 10.959 Å; angles 103.40, 98.52, 109.55 degrees
Space group P-1 (No. 2)
Symmetry-distinct sites (fractional):
Ru1 0.114 0.148 0.169 [2 per cell]
S1 0.035 0.350 0.286 [2 per cell]
S2 0.314 0.319 0.089 [2 per cell]
S3 0.321 0.181 0.340 [2 per cell]
Cl1 0.041 0.537 0.195 [2 per cell]
Cl2 0.103 0.877 0.027 [2 per cell]
Cl3 0.132 0.030 0.768 [2 per cell]
Cl4 0.216 0.505 0.461 [2 per cell]
Cl5 0.222 0.087 0.483 [2 per cell]
Cl6 0.455 0.025 0.288 [2 per cell]
Cl7 0.485 0.541 0.236 [2 per cell]
Cl8 0.500 0.223 0.040 [2 per cell]